No. 1
Diffraction record for Pr2HfBi2N2. The powder X-ray diffraction pattern is calculated, not measured: it uses a structure optimized by DFT (PBE) and Cu Ka.
Lines closer than 0.1° are merged.

Main lines, low angle first (2θ = 5–70°):
21.36 deg, I = 3
25.99 deg, I = 4
29.46 deg, I = 68
31.32 deg, I = 2
33.48 deg, I = 100
42.15 deg, I = 30
52.30 deg, I = 2
53.48 deg, I = 8
54.86 deg, I = 50
61.14 deg, I = 11
62.24 deg, I = 14
69.30 deg, I = 12

Atomic structure:
```
14
Lattice="4.288 0.000 0.000 0.000 4.288 0.000 0.000 0.000 17.133" Properties=species:S:1:pos:R:3 pbc="T T T"
Pr 0.000 0.000 1.654
Pr 0.000 0.000 15.479
Pr 2.144 2.144 6.913
Pr 2.144 2.144 10.220
Hf 0.000 0.000 8.566
Hf 2.144 2.144 0.000
Bi 0.000 0.000 5.287
Bi 0.000 0.000 11.846
Bi 2.144 2.144 3.280
Bi 2.144 2.144 13.853
N 0.000 2.144 0.000
N 0.000 2.144 8.566
N 2.144 0.000 0.000
N 2.144 0.000 8.566
```

No. 2
Diffraction record for Pm3Dy2. The powder X-ray diffraction pattern is calculated, not measured: it uses a structure optimized by DFT (PBE) and Cu Ka.
Lines closer than 0.1° are merged.

Main lines, low angle first (2θ = 5–70°):
30.35 deg, I = 100
35.18 deg, I = 51
50.59 deg, I = 30
50.68 deg, I = 6
60.13 deg, I = 29
60.21 deg, I = 14
63.07 deg, I = 6
63.19 deg, I = 6

Atomic structure:
```
10
Lattice="11.390 0.000 0.000 0.000 5.101 0.000 -5.694 0.000 5.713" Properties=species:S:1:pos:R:3 pbc="T T T"
Pm 0.000 0.000 0.000
Pm -1.143 2.551 2.275
Pm 1.144 0.000 3.438
Pm 5.695 2.551 0.000
Pm 4.552 0.000 2.275
Pm 6.839 2.551 3.438
Dy -2.285 0.000 4.568
Dy 2.286 2.551 1.144
Dy 3.410 2.551 4.568
Dy 7.980 0.000 1.144
```

No. 3
Diffraction record for Pa2VH6. The powder X-ray diffraction pattern is calculated, not measured: it uses a structure optimized by DFT (PBE) and Cu Ka.
Lines closer than 0.1° are merged.

Main lines, low angle first (2θ = 5–70°):
25.57 deg, I = 100
33.02 deg, I = 28
33.58 deg, I = 52
37.02 deg, I = 13
39.17 deg, I = 35
39.67 deg, I = 17
47.79 deg, I = 13
52.53 deg, I = 23
54.62 deg, I = 9
55.38 deg, I = 28
63.09 deg, I = 11
68.14 deg, I = 9

Atomic structure:
```
9
Lattice="4.000 -2.272 0.000 4.000 2.272 0.000 -2.737 0.000 4.857" Properties=species:S:1:pos:R:3 pbc="T T T"
Pa 1.240 0.000 1.117
Pa 4.023 0.000 3.740
V -1.368 0.000 2.429
H 3.206 1.191 1.047
H 0.227 0.000 3.239
H 2.057 1.191 3.810
H 3.206 -1.191 1.047
H 5.035 0.000 1.618
H 2.057 -1.191 3.810
```

No. 4
Diffraction record for TaPdS2. The powder X-ray diffraction pattern is calculated, not measured: it uses a structure optimized by DFT (PBE) and Cu Ka.
Lines closer than 0.1° are merged.

Main lines, low angle first (2θ = 5–70°):
11.64 deg, I = 69
23.41 deg, I = 100
28.01 deg, I = 31
31.62 deg, I = 47
32.16 deg, I = 84
34.48 deg, I = 81
34.89 deg, I = 40
40.88 deg, I = 46
44.91 deg, I = 31
46.69 deg, I = 35
56.01 deg, I = 38
57.89 deg, I = 30

Atomic structure:
```
16
Lattice="15.694 0.000 0.000 0.000 3.258 0.000 -1.433 0.000 5.566" Properties=species:S:1:pos:R:3 pbc="T T T"
Ta 3.924 0.815 0.000
Ta 3.207 2.444 2.783
Ta 11.054 0.815 2.783
Ta 11.771 2.444 0.000
Pd 0.000 0.000 0.000
Pd -0.716 0.000 2.783
Pd 7.847 1.629 0.000
Pd 7.131 1.629 2.783
S 1.414 0.796 3.334
S 2.131 2.462 0.551
S 5.000 0.833 2.232
S 4.284 2.425 5.015
S 9.978 0.833 0.551
S 9.262 2.425 3.334
S 12.131 0.796 5.015
S 12.847 2.462 2.232
```

No. 5
Diffraction record for Tm2Zn3Ni2. The powder X-ray diffraction pattern is calculated, not measured: it uses a structure optimized by DFT (PBE) and Cu Ka.
Lines closer than 0.1° are merged.

Main lines, low angle first (2θ = 5–70°):
28.99 deg, I = 58
30.81 deg, I = 19
35.85 deg, I = 100
36.45 deg, I = 49
36.63 deg, I = 47
38.24 deg, I = 27
39.53 deg, I = 31
41.95 deg, I = 46
42.40 deg, I = 19
44.06 deg, I = 69
63.34 deg, I = 21
67.78 deg, I = 19

Atomic structure:
```
14
Lattice="9.509 0.000 0.000 0.000 4.108 0.000 -1.495 0.000 6.174" Properties=species:S:1:pos:R:3 pbc="T T T"
Tm 0.606 0.000 2.162
Tm 2.654 2.054 4.013
Tm 5.361 2.054 2.162
Tm 7.408 0.000 4.013
Zn 0.000 2.054 0.000
Zn 0.651 0.000 5.400
Zn 2.609 2.054 0.774
Zn 4.755 0.000 0.000
Zn 5.406 2.054 5.400
Zn 7.363 0.000 0.774
Ni -0.120 2.054 4.126
Ni 3.380 0.000 2.049
Ni 4.634 0.000 4.126
Ni 8.135 2.054 2.049
```

No. 6
Diffraction record for HfSn2Bi. The powder X-ray diffraction pattern is calculated, not measured: it uses a structure optimized by DFT (PBE) and Cu Ka.
Lines closer than 0.1° are merged.

Main lines, low angle first (2θ = 5–70°):
15.76 deg, I = 19
31.17 deg, I = 25
31.52 deg, I = 100
31.83 deg, I = 43
32.87 deg, I = 17
33.85 deg, I = 16
37.83 deg, I = 42
41.22 deg, I = 81
55.25 deg, I = 37
63.97 deg, I = 20
65.19 deg, I = 35
69.45 deg, I = 17

Atomic structure:
```
12
Lattice="3.325 0.000 0.000 -1.663 2.880 0.000 0.000 0.000 33.732" Properties=species:S:1:pos:R:3 pbc="T T T"
Hf 0.000 0.000 0.000
Hf 0.000 1.920 22.488
Hf 1.663 0.960 11.244
Sn 0.000 0.000 13.682
Sn 0.000 0.000 20.049
Sn 0.000 1.920 2.438
Sn 0.000 1.920 8.806
Sn 1.663 0.960 24.926
Sn 1.663 0.960 31.293
Bi 0.000 0.000 16.866
Bi 0.000 1.920 5.622
Bi 1.663 0.960 28.110
```

No. 7
Diffraction record for Ca8Mg2In. The powder X-ray diffraction pattern is calculated, not measured: it uses a structure optimized by DFT (PBE) and Cu Ka.
Lines closer than 0.1° are merged.

Main lines, low angle first (2θ = 5–70°):
9.99 deg, I = 24
12.05 deg, I = 39
24.23 deg, I = 21
27.85 deg, I = 29
28.12 deg, I = 55
29.99 deg, I = 42
30.29 deg, I = 15
31.37 deg, I = 100
32.49 deg, I = 45
36.28 deg, I = 20
37.21 deg, I = 21
57.26 deg, I = 17

Atomic structure:
```
11
Lattice="9.269 -4.038 0.000 9.269 4.038 0.000 -1.637 0.000 5.263" Properties=species:S:1:pos:R:3 pbc="T T T"
Ca 0.000 0.000 0.000
Ca 6.654 1.620 2.074
Ca 3.545 -0.789 1.101
Ca 10.248 1.620 3.189
Ca 5.022 -0.997 4.448
Ca 8.451 -1.394 2.632
Ca 11.880 -0.997 0.815
Ca 13.357 -0.789 4.163
Mg 1.852 0.869 3.457
Mg 15.050 0.869 1.807
In 9.269 0.771 0.000
```

No. 8
Diffraction record for KTeF5. The powder X-ray diffraction pattern is calculated, not measured: it uses a structure optimized by DFT (PBE) and Cu Ka.
Lines closer than 0.1° are merged.

Main lines, low angle first (2θ = 5–70°):
15.45 deg, I = 57
20.45 deg, I = 78
21.85 deg, I = 100
23.86 deg, I = 50
24.51 deg, I = 46
27.42 deg, I = 32
31.16 deg, I = 28
37.54 deg, I = 17
41.22 deg, I = 53
44.93 deg, I = 27
49.20 deg, I = 15
49.83 deg, I = 19

Atomic structure:
```
28
Lattice="4.910 0.000 0.000 0.000 9.382 0.000 0.000 0.000 11.473" Properties=species:S:1:pos:R:3 pbc="T T T"
K 0.033 2.346 0.000
K 0.033 2.346 5.737
K 4.877 7.037 0.000
K 4.877 7.037 5.737
Te 1.845 5.262 2.868
Te 1.845 8.812 8.605
Te 3.065 0.571 2.868
Te 3.065 4.121 8.605
F 0.551 6.683 2.868
F 0.551 7.391 8.605
F 0.590 0.098 7.189
F 0.590 0.098 10.021
F 0.590 4.593 1.452
F 0.590 4.593 4.284
F 2.302 1.753 1.443
F 2.302 1.753 4.294
F 2.302 2.938 7.179
F 2.302 2.938 10.030
F 2.608 6.444 1.443
F 2.608 6.444 4.294
F 2.608 7.629 7.179
F 2.608 7.629 10.030
F 4.320 4.789 7.189
F 4.320 4.789 10.021
F 4.320 9.284 1.452
F 4.320 9.284 4.284
F 4.359 1.992 2.868
F 4.359 2.700 8.605
```